For Na3AcO3, a crystal structure in Alexandria, relaxed with GGA-PBE gives the calculated X-ray diffraction stick pattern in this record (λ = 1.5418 Å (Cu Kα)).
Lines closer than 0.1° are merged.

Atomic structure:
```
data_Na3AcO3
_chemical_formula_sum 'Na3 Ac1 O3'
_cell_length_a 5.0241
_cell_length_b 5.0241
_cell_length_c 5.0241
_cell_angle_alpha 90.00
_cell_angle_beta 90.00
_cell_angle_gamma 90.00
_space_group_name_H-M_alt 'P m -3 m'
_space_group_IT_number 221
_space_group_name_Hall '-P 4 2 3'
loop_
_atom_site_label
_atom_site_fract_x
_atom_site_fract_y
_atom_site_fract_z
_atom_site_occupancy
Na1 0.0000 0.0000 0.5000 1
Ac1 0.5000 0.5000 0.5000 1
O1 0.0000 0.5000 0.5000 1
```

Top 10 peaks for 2θ = 10–90°, by angle:
(hkl)  2θ/deg  I (rel.)
1 0 0  17.65  100
1 1 0  25.07  60
1 1 1  30.83  45
2 0 0  35.74  46
2 1 0  40.13  52
2 1 1  44.15  29
2 2 0  51.44  31
3 0 0  54.82  26
3 1 1  61.18  21
3 2 1  70.08  16